[1]
Theoretical XRD peak list of ThPa2Au6 for CuKα, from DFT lattice parameters and positions (PBE).
No peak broadening, texture or thermal motion is included.

Principal peaks in the range 2θ from 10° to 80°, low angle first:
| hkl | 2θ/deg | intensity |
| --- | --- | --- |
| 1 1 2 | 31.26 | 54 |
| 1 2 1 | 35.13 | 65 |
| 0 0 6 | 36.62 | 50 |
| 0 3 3 | 37.80 | 100 |
| 1 1 4 | 37.90 | 51 |
| 1 2 5 | 46.67 | 18 |
| 2 0 0 | 54.67 | 22 |
| 1 2 7 | 56.32 | 20 |
| 2 0 6 | 67.60 | 18 |
| 2 3 3 | 68.37 | 36 |

Cell and atoms:
```
data_ThPa2Au6
_chemical_formula_sum 'Th2 Pa4 Au12'
_cell_length_a 3.3583
_cell_length_b 8.1647
_cell_length_c 14.7234
_cell_angle_alpha 90.00
_cell_angle_beta 90.00
_cell_angle_gamma 90.00
_symmetry_space_group_name_H-M 'I m m m'
_symmetry_Int_Tables_number 71
_symmetry_space_group_name_Hall '-I 2 2'
loop_
_atom_site_label
_atom_site_type_symbol
_atom_site_fract_x
_atom_site_fract_y
_atom_site_fract_z
Th1 Th 0.0000 0.0000 0.0000
Pa1 Pa 0.0000 0.5000 0.1475
Au1 Au 0.0000 0.1722 0.5000
Au2 Au 0.0000 0.3231 0.3269
```

***

[2]
Theoretical XRD peak list of Ti6BeC4 for CuKα, from DFT lattice parameters and positions (PBE).
No peak broadening, texture or thermal motion is included.

Principal peaks in the range 2θ from 10° to 80°, low angle first:
| hkl | 2θ/deg | intensity |
| --- | --- | --- |
| 0 0 2 | 11.02 | 23 |
| 1 1 3 | 34.55 | 52 |
| 0 4 1 | 35.56 | 25 |
| 1 1 4 | 37.69 | 61 |
| 0 2 6 | 37.96 | 100 |
| 1 3 1 | 39.68 | 40 |
| 1 3 2 | 40.91 | 78 |
| 1 3 3 | 42.89 | 34 |
| 1 5 5 | 61.51 | 27 |
| 2 2 6 | 72.87 | 24 |

Cell and atoms:
```
data_Ti6BeC4
_chemical_formula_sum 'Ti24 Be4 C16'
_cell_length_a 3.1028
_cell_length_b 10.2259
_cell_length_c 16.0511
_cell_angle_alpha 90.00
_cell_angle_beta 90.00
_cell_angle_gamma 90.00
_symmetry_space_group_name_H-M 'C m c m'
_symmetry_Int_Tables_number 63
_symmetry_space_group_name_Hall '-C 2c 2'
loop_
_atom_site_label
_atom_site_type_symbol
_atom_site_fract_x
_atom_site_fract_y
_atom_site_fract_z
Ti1 Ti 0.0000 0.0000 0.0000
Ti2 Ti 0.0000 0.1602 0.2500
Ti3 Ti 0.0000 0.2737 0.5788
Ti4 Ti 0.0000 0.4633 0.1535
Be1 Be 0.0000 0.1560 0.7500
C1 C 0.0000 0.0915 0.1239
C2 C 0.0000 0.3620 0.0413
```

***

[3]
Theoretical XRD peak list of TiNbO3 for CuKα, from DFT lattice parameters and positions (PBE).
No peak broadening, texture or thermal motion is included.

Principal peaks in the range 2θ from 10° to 80°, low angle first:
| hkl | 2θ/deg | intensity |
| --- | --- | --- |
| 0 0 1 | 12.11 | 100 |
| 2 0 -2 | 23.46 | 82 |
| 4 0 -1 | 31.76 | 15 |
| 1 1 1 | 33.02 | 62 |
| 4 0 0 | 34.77 | 36 |
| 3 1 -1 | 36.86 | 37 |
| 3 1 -2 | 39.50 | 21 |
| 1 1 2 | 40.63 | 37 |
| 6 0 -2 | 48.52 | 15 |
| 3 1 -4 | 54.47 | 25 |

Cell and atoms:
```
data_TiNbO3
_chemical_formula_sum 'Ti4 Nb4 O12'
_cell_length_a 11.2868
_cell_length_b 3.2094
_cell_length_c 7.9916
_cell_angle_alpha 90.00
_cell_angle_beta 113.86
_cell_angle_gamma 90.00
_symmetry_space_group_name_H-M 'C 1 2/m 1'
_symmetry_Int_Tables_number 12
_symmetry_space_group_name_Hall '-C 2y'
loop_
_atom_site_label
_atom_site_type_symbol
_atom_site_fract_x
_atom_site_fract_y
_atom_site_fract_z
Ti1 Ti 0.1344 0.0000 0.3328
Nb1 Nb 0.1390 0.5000 0.9532
O1 O 0.0481 0.0000 0.7748
O2 O 0.1547 0.5000 0.4612
O3 O 0.2044 0.0000 0.1521
```

***

[4]
Theoretical XRD peak list of Si23Ar3 for CuKα, from DFT lattice parameters and positions (PBE).
No peak broadening, texture or thermal motion is included.

Principal peaks in the range 2θ from 10° to 80°, low angle first:
| hkl | 2θ/deg | intensity |
| --- | --- | --- |
| 2 1 1 | 21.13 | 17 |
| 2 2 2 | 30.06 | 62 |
| 3 2 0 | 31.32 | 58 |
| 3 2 1 | 32.53 | 100 |
| 4 0 0 | 34.85 | 14 |
| 4 1 0 | 35.96 | 25 |
| 5 3 0 | 51.76 | 79 |
| 5 3 1 | 52.58 | 20 |
| 6 0 0 | 53.38 | 21 |
| 5 3 2 | 54.97 | 47 |

Cell and atoms:
```
data_Si23Ar3
_chemical_formula_sum 'Si46 Ar6'
_cell_length_a 10.2979
_cell_length_b 10.2979
_cell_length_c 10.2979
_cell_angle_alpha 90.00
_cell_angle_beta 90.00
_cell_angle_gamma 90.00
_symmetry_space_group_name_H-M 'P m -3 n'
_symmetry_Int_Tables_number 223
_symmetry_space_group_name_Hall '-P 4n 2 3'
loop_
_atom_site_label
_atom_site_type_symbol
_atom_site_fract_x
_atom_site_fract_y
_atom_site_fract_z
Si1 Si 0.0000 0.1178 0.3063
Si2 Si 0.0000 0.2500 0.5000
Si3 Si 0.1837 0.1837 0.1837
Ar1 Ar 0.0000 0.5000 0.2500
```

***

[5]
Theoretical XRD peak list of Li2Cd2Sn for CuKα, from DFT lattice parameters and positions (PBE).
No peak broadening, texture or thermal motion is included.

Principal peaks in the range 2θ from 10° to 80°, low angle first:
| hkl | 2θ/deg | intensity |
| --- | --- | --- |
| 0 1 3 | 20.96 | 67 |
| 0 0 8 | 24.01 | 43 |
| 1 0 7 | 36.31 | 40 |
| 1 1 4 | 37.21 | 100 |
| 0 2 0 | 38.36 | 28 |
| 0 1 11 | 38.51 | 48 |
| 1 2 7 | 53.85 | 25 |
| 1 3 4 | 68.62 | 16 |
| 1 2 15 | 69.39 | 16 |
| 2 2 0 | 74.27 | 21 |

Cell and atoms:
```
data_Li2Cd2Sn
_chemical_formula_sum 'Li8 Cd8 Sn4'
_cell_length_a 3.0475
_cell_length_b 4.6928
_cell_length_c 29.6535
_cell_angle_alpha 90.00
_cell_angle_beta 90.00
_cell_angle_gamma 90.00
_symmetry_space_group_name_H-M 'I m m a'
_symmetry_Int_Tables_number 74
_symmetry_space_group_name_Hall '-I 2b 2'
loop_
_atom_site_label
_atom_site_type_symbol
_atom_site_fract_x
_atom_site_fract_y
_atom_site_fract_z
Li1 Li 0.0000 0.2500 0.0238
Li2 Li 0.0000 0.2500 0.1131
Cd1 Cd 0.0000 0.2500 0.2937
Cd2 Cd 0.0000 0.2500 0.8314
Sn1 Sn 0.0000 0.2500 0.5682
```

***

[6]
Theoretical XRD peak list of LiPr2Mg7 for CuKα, from DFT lattice parameters and positions (PBE).
No peak broadening, texture or thermal motion is included.

Principal peaks in the range 2θ from 10° to 80°, low angle first:
| hkl | 2θ/deg | intensity |
| --- | --- | --- |
| 2 0 0 | 17.41 | 64 |
| 2 2 0 | 24.72 | 100 |
| 2 2 2 | 30.39 | 93 |
| 4 0 0 | 35.24 | 62 |
| 4 2 0 | 39.56 | 34 |
| 4 2 2 | 43.52 | 44 |
| 4 4 0 | 50.69 | 43 |
| 6 2 0 | 57.19 | 21 |
| 6 2 2 | 60.26 | 38 |
| 6 4 2 | 68.98 | 23 |

Cell and atoms:
```
data_LiPr2Mg7
_chemical_formula_sum 'Li4 Pr8 Mg28'
_cell_length_a 10.1879
_cell_length_b 10.1879
_cell_length_c 10.1879
_cell_angle_alpha 90.00
_cell_angle_beta 90.00
_cell_angle_gamma 90.00
_symmetry_space_group_name_H-M 'F m -3 m'
_symmetry_Int_Tables_number 225
_symmetry_space_group_name_Hall '-F 4 2 3'
loop_
_atom_site_label
_atom_site_type_symbol
_atom_site_fract_x
_atom_site_fract_y
_atom_site_fract_z
Li1 Li 0.0000 0.0000 0.0000
Pr1 Pr 0.2500 0.2500 0.2500
Mg1 Mg 0.0000 0.0000 0.2377
Mg2 Mg 0.0000 0.0000 0.5000
```